No. 1
Calculated powder X-ray diffraction pattern
Compound: Ba6ZnCo5Si6O24
Radiation: Cu Kα (λ = 1.5418 Å)
Structure: a cell relaxed with PBE+U
Kinematic intensities with the Lorentz-polarization factor, no thermal factor.

Principal peaks in the range 2θ = 10–80°, by angle:
2θ = 19.20°, I 24
2θ = 21.72°, I 13
2θ = 28.00°, I 100
2θ = 33.57°, I 50
2θ = 44.26°, I 26
2θ = 56.68°, I 26

Crystal structure
Lattice parameters (Å, degrees): 8.798 9.240 9.248 60.06 89.96 89.99
Atoms (fractional coordinates):
Ba (0.000, 0.000, 0.000)
Ba (0.007, 0.333, 0.335)
Ba (0.031, 0.667, 0.667)
Ba (0.501, 0.333, 0.334)
Ba (0.507, 0.001, 0.001)
Ba (0.531, 0.665, 0.668)
Zn (0.313, 0.336, 0.987)
Co (0.315, 0.680, 0.336)
Co (0.315, 0.984, 0.680)
Co (0.814, 0.349, 0.655)
Co (0.814, 0.654, 0.998)
Co (0.815, 0.997, 0.350)
Si (0.211, 0.007, 0.340)
Si (0.211, 0.653, 0.008)
Si (0.212, 0.340, 0.655)
Si (0.711, 0.326, 0.995)
Si (0.711, 0.680, 0.327)
Si (0.711, 0.994, 0.681)
O (0.032, 0.388, 0.598)
O (0.032, 0.594, 0.018)
O (0.033, 0.016, 0.390)
O (0.224, 0.858, 0.905)
O (0.224, 0.905, 0.236)
O (0.226, 0.236, 0.860)
O (0.271, 0.226, 0.573)
O (0.272, 0.201, 0.228)
O (0.272, 0.572, 0.201)
O (0.301, 0.578, 0.903)
O (0.303, 0.519, 0.578)
O (0.303, 0.903, 0.519)
O (0.532, 0.738, 0.319)
O (0.532, 0.942, 0.740)
O (0.533, 0.318, 0.945)
O (0.724, 0.098, 0.476)
O (0.724, 0.428, 0.099)
O (0.724, 0.474, 0.429)
O (0.769, 0.107, 0.762)
O (0.771, 0.132, 0.108)
O (0.771, 0.761, 0.133)
O (0.803, 0.755, 0.431)
O (0.804, 0.430, 0.817)
O (0.804, 0.815, 0.757)

=====

No. 2
Calculated powder X-ray diffraction pattern
Compound: BaSr3Co4O12
Radiation: Cu Kα (λ = 1.5418 Å)
Structure: a cell relaxed with PBE+U
Kinematic intensities with the Lorentz-polarization factor, no thermal factor.

Principal peaks in the range 2θ = 10–80°, by angle:
2θ = 25.89°, I 51
2θ = 26.00°, I 72
2θ = 32.20°, I 52
2θ = 32.59°, I 100
2θ = 41.84°, I 33
2θ = 41.98°, I 32

Crystal structure
Lattice parameters (Å, degrees): 4.919 5.560 9.483 89.98 89.55 89.97
Atoms (fractional coordinates):
Ba (0.000, 0.000, 0.000)
Sr (0.482, 0.000, 0.667)
Sr (0.498, 0.500, 0.170)
Sr (0.990, 0.500, 0.502)
Co (0.139, 0.000, 0.341)
Co (0.332, 0.500, 0.830)
Co (0.639, 0.000, 0.342)
Co (0.832, 0.500, 0.831)
O (0.075, 0.500, 0.983)
O (0.093, 0.279, 0.753)
O (0.093, 0.722, 0.753)
O (0.378, 0.776, 0.416)
O (0.380, 0.225, 0.416)
O (0.403, 0.001, 0.190)
O (0.575, 0.723, 0.908)
O (0.576, 0.277, 0.908)
O (0.599, 0.501, 0.681)
O (0.873, 0.001, 0.493)
O (0.889, 0.774, 0.267)
O (0.892, 0.227, 0.267)

=====

No. 3
Calculated powder X-ray diffraction pattern
Compound: BaSrCo2O6
Radiation: Cu Kα (λ = 1.5418 Å)
Structure: a cell relaxed with PBE+U
Kinematic intensities with the Lorentz-polarization factor, no thermal factor.

Principal peaks in the range 2θ = 10–80°, by angle:
2θ = 26.30°, I 94
2θ = 31.94°, I 100
2θ = 41.83°, I 70
2θ = 42.50°, I 41
2θ = 54.14°, I 34
2θ = 64.25°, I 30

Crystal structure
Lattice parameters (Å, degrees): 5.604 5.604 4.732 90.00 90.00 120.00
Atoms (fractional coordinates):
Ba (0.000, 0.000, 0.000)
Sr (0.333, 0.667, 0.500)
Co (0.667, 0.333, 0.250)
Co (0.667, 0.333, 0.750)
O (0.365, 0.182, 0.500)
O (0.515, 0.029, 0.000)
O (0.515, 0.485, 0.000)
O (0.818, 0.182, 0.500)
O (0.818, 0.635, 0.500)
O (0.971, 0.485, 0.000)

=====

No. 4
Calculated powder X-ray diffraction pattern
Compound: Ba3SrCo4O12
Radiation: Cu Kα (λ = 1.5418 Å)
Structure: a cell relaxed with PBE+U
Kinematic intensities with the Lorentz-polarization factor, no thermal factor.

Principal peaks in the range 2θ = 10–80°, by angle:
2θ = 25.54°, I 84
2θ = 25.77°, I 52
2θ = 31.47°, I 51
2θ = 31.67°, I 100
2θ = 40.94°, I 47
2θ = 41.25°, I 48

Crystal structure
Lattice parameters (Å, degrees): 4.907 5.685 9.767 89.99 89.04 89.94
Atoms (fractional coordinates):
Ba (0.000, 0.000, 0.000)
Ba (0.009, 0.500, 0.498)
Ba (0.503, 0.000, 0.668)
Sr (0.491, 0.500, 0.164)
Co (0.184, 0.500, 0.838)
Co (0.332, 0.000, 0.330)
Co (0.685, 0.500, 0.838)
Co (0.832, 0.000, 0.330)
O (0.066, 0.000, 0.478)
O (0.093, 0.221, 0.256)
O (0.097, 0.779, 0.256)
O (0.426, 0.717, 0.914)
O (0.427, 0.283, 0.914)
O (0.448, 0.500, 0.691)
O (0.574, 0.222, 0.402)
O (0.578, 0.778, 0.402)
O (0.595, 0.000, 0.184)
O (0.912, 0.500, 0.986)
O (0.942, 0.719, 0.763)
O (0.943, 0.281, 0.763)

=====

No. 5
Calculated powder X-ray diffraction pattern
Compound: Ba2Tb2Co4O11
Radiation: Cu Kα (λ = 1.5418 Å)
Structure: a cell relaxed with PBE+U
Kinematic intensities with the Lorentz-polarization factor, no thermal factor.

Principal peaks in the range 2θ = 10–80°, by angle:
2θ = 32.29°, I 46
2θ = 32.59°, I 100
2θ = 40.07°, I 21
2θ = 46.25°, I 15
2θ = 57.77°, I 36
2θ = 58.33°, I 21

Crystal structure
Lattice parameters (Å, degrees): 3.926 7.705 7.830 90.00 90.00 90.00
Atoms (fractional coordinates):
Ba (0.000, 0.000, 0.249)
Ba (0.000, 0.000, 0.751)
Tb (0.000, 0.500, 0.228)
Tb (0.000, 0.500, 0.772)
Co (0.500, 0.255, 0.000)
Co (0.500, 0.259, 0.500)
Co (0.500, 0.741, 0.500)
Co (0.500, 0.745, 0.000)
O (0.000, 0.279, 0.000)
O (0.000, 0.315, 0.500)
O (0.000, 0.685, 0.500)
O (0.000, 0.721, 0.000)
O (0.500, 0.000, 0.000)
O (0.500, 0.000, 0.500)
O (0.500, 0.303, 0.270)
O (0.500, 0.303, 0.730)
O (0.500, 0.500, 0.000)
O (0.500, 0.697, 0.270)
O (0.500, 0.697, 0.730)

=====

No. 6
Calculated powder X-ray diffraction pattern
Compound: BaCoTe2O8
Radiation: Cu Kα (λ = 1.5418 Å)
Structure: a cell relaxed with PBE+U
Kinematic intensities with the Lorentz-polarization factor, no thermal factor.

Principal peaks in the range 2θ = 10–80°, by angle:
2θ = 21.69°, I 100
2θ = 22.42°, I 51
2θ = 28.18°, I 100
2θ = 29.39°, I 33
2θ = 30.35°, I 47
2θ = 34.33°, I 56

Crystal structure
Lattice parameters (Å, degrees): 5.282 5.282 8.048 93.56 93.56 67.78
Atoms (fractional coordinates):
Ba (0.000, 0.000, 0.000)
Co (0.000, 0.000, 0.500)
Te (0.370, 0.370, 0.702)
Te (0.630, 0.630, 0.298)
O (0.229, 0.229, 0.521)
O (0.236, 0.750, 0.699)
O (0.250, 0.764, 0.301)
O (0.300, 0.300, 0.913)
O (0.700, 0.700, 0.087)
O (0.750, 0.236, 0.699)
O (0.764, 0.250, 0.301)
O (0.771, 0.771, 0.479)

=====

No. 7
Calculated powder X-ray diffraction pattern
Compound: BaTi2Co2O7
Radiation: Cu Kα (λ = 1.5418 Å)
Structure: a cell relaxed with PBE+U
Kinematic intensities with the Lorentz-polarization factor, no thermal factor.

Principal peaks in the range 2θ = 10–80°, by angle:
2θ = 24.26°, I 43
2θ = 28.48°, I 41
2θ = 31.03°, I 100
2θ = 33.28°, I 37
2θ = 35.21°, I 40
2θ = 45.12°, I 27

Crystal structure
Lattice parameters (Å, degrees): 8.551 8.551 8.551 153.69 44.05 145.32
Atoms (fractional coordinates):
Ba (0.000, 0.000, 0.000)
Ti (0.393, 0.008, 0.385)
Ti (0.623, 0.008, 0.615)
Co (0.294, 0.553, 0.740)
Co (0.813, 0.553, 0.260)
O (0.039, 0.655, 0.384)
O (0.270, 0.655, 0.616)
O (0.419, 0.149, 0.270)
O (0.449, 0.569, 0.880)
O (0.626, 0.126, 0.500)
O (0.689, 0.569, 0.120)
O (0.880, 0.149, 0.730)

=====

No. 8
Calculated powder X-ray diffraction pattern
Compound: Ba2TlCoO5
Radiation: Cu Kα (λ = 1.5418 Å)
Structure: a cell relaxed with PBE+U
Kinematic intensities with the Lorentz-polarization factor, no thermal factor.

Principal peaks in the range 2θ = 10–80°, by angle:
2θ = 26.73°, I 84
2θ = 30.43°, I 49
2θ = 31.50°, I 44
2θ = 35.27°, I 100
2θ = 36.20°, I 44
2θ = 42.08°, I 37

Crystal structure
Lattice parameters (Å, degrees): 7.847 7.847 11.116 90.00 90.00 153.51
Atoms (fractional coordinates):
Ba (0.113, 0.887, 0.500)
Ba (0.137, 0.863, 0.142)
Ba (0.863, 0.137, 0.642)
Ba (0.887, 0.113, 0.000)
Tl (0.205, 0.795, 0.846)
Tl (0.795, 0.205, 0.346)
Co (0.451, 0.549, 0.257)
Co (0.549, 0.451, 0.757)
O (0.045, 0.955, 0.831)
O (0.293, 0.707, 0.481)
O (0.328, 0.672, 0.207)
O (0.350, 0.650, 0.826)
O (0.498, 0.502, 0.614)
O (0.502, 0.498, 0.114)
O (0.650, 0.350, 0.326)
O (0.672, 0.328, 0.707)
O (0.707, 0.293, 0.981)
O (0.955, 0.045, 0.331)